The following is a theoretical PXRD pattern of TiMn3Fe2P6O24. It was derived from a crystal structure in Alexandria, relaxed with GGA+U, using Cu Kα.

The 6 most intense peaks (10° ≤ 2θ ≤ 90°), by angle:
Position (°2θ), d_spacing, I/Imax
20.47, 4.339, 76
24.26, 3.669, 100
33.26, 2.693, 67
35.84, 2.505, 38
47.65, 1.908, 28
49.70, 1.834, 26

a b c (Å): 8.504 8.504 8.504
angles (deg): 61.37 61.37 61.37
Sites, in units of the cell vectors:
Ti: 0.000 0.000 0.000
Mn: 0.211 0.211 0.211
Mn: 0.495 0.495 0.495
Mn: 0.705 0.705 0.705
Fe: 0.353 0.353 0.353
Fe: 0.852 0.852 0.852
P: 0.103 0.400 0.815
P: 0.299 0.898 0.602
P: 0.400 0.815 0.103
P: 0.602 0.299 0.898
P: 0.815 0.103 0.400
P: 0.898 0.602 0.299
O: 0.023 0.242 0.871
O: 0.097 0.920 0.763
O: 0.099 0.444 0.280
O: 0.181 0.352 0.966
O: 0.242 0.871 0.023
O: 0.252 0.406 0.616
O: 0.280 0.099 0.444
O: 0.330 0.741 0.543
O: 0.352 0.966 0.181
O: 0.406 0.616 0.252
O: 0.444 0.280 0.099
O: 0.452 0.869 0.665
O: 0.543 0.330 0.741
O: 0.598 0.807 0.946
O: 0.616 0.252 0.406
O: 0.665 0.452 0.869
O: 0.741 0.543 0.330
O: 0.763 0.097 0.920
O: 0.807 0.946 0.598
O: 0.869 0.665 0.452
O: 0.871 0.023 0.242
O: 0.920 0.763 0.097
O: 0.946 0.598 0.807
O: 0.966 0.181 0.352